1.
The following is a calculated XRD peak list of NpFeP2. It was derived from a GGA-PBE-relaxed structure, using Cu Kα (weighted mean of Kα1 and Kα2).
Lines closer than 0.1° are merged.

Cell and atoms:
```
data_NpFeP2
_chemical_formula_sum 'Np4 Fe4 P8'
_symmetry_space_group_name_H-M 'P n m a'
_symmetry_Int_Tables_number 62
_cell_length_a 18.9706
_cell_length_b 3.6670
_cell_length_c 3.6669
_cell_angle_alpha 90.00
_cell_angle_beta 90.00
_cell_angle_gamma 90.00
loop_
_symmetry_equiv_pos_as_xyz
'x,y,z'
'-x,-y,-z'
'-x+1/2,-y,z+1/2'
'x+1/2,y,-z+1/2'
'x+1/2,-y+1/2,-z+1/2'
'-x+1/2,y+1/2,z+1/2'
'-x,y+1/2,-z'
'x,-y+1/2,z'
loop_
_atom_site_label
_atom_site_type_symbol
_atom_site_fract_x
_atom_site_fract_y
_atom_site_fract_z
Np1 Np 0.1167 0.2500 0.2492
Fe1 Fe 0.2500 0.2500 0.7490
P1 P 0.0000 0.2500 0.7494
P2 P 0.1842 0.7500 0.7490
```

Top 10 peaks for 15° ≤ 2θ ≤ 90°, by intensity:
- 26.05°, d = 3.420 Å, I = 100, (2 1 0)
- 39.61°, d = 2.275 Å, I = 80, (4 1 1)
- 37.56°, d = 2.395 Å, I = 53, (6 1 0)
- 49.73°, d = 1.833 Å, I = 25, (0 2 0)
- 56.99°, d = 1.616 Å, I = 25, (2 2 1)
- 63.95°, d = 1.456 Å, I = 23, (6 2 1)
- 18.71°, d = 4.743 Å, I = 23, (4 0 0)
- 86.38°, d = 1.126 Å, I = 18, (4 3 1)
- 34.59°, d = 2.593 Å, I = 17, (0 1 1)
- 64.20°, d = 1.451 Å, I = 16, (8 2 0)

2.
The following is a calculated XRD peak list of NpFeP2Ru. It was derived from a GGA-PBE-relaxed structure, using Cu Kα (weighted mean of Kα1 and Kα2).
Lines closer than 0.1° are merged.

Cell and atoms:
```
data_NpFeP2Ru
_chemical_formula_sum 'Np2 Fe2 P4 Ru2'
_symmetry_space_group_name_H-M 'I -4 m 2'
_symmetry_Int_Tables_number 119
_symmetry_space_group_name_Hall 'I -4 -2'
_cell_length_a 3.9022
_cell_length_b 3.9022
_cell_length_c 9.7801
_cell_angle_alpha 90.00
_cell_angle_beta 90.00
_cell_angle_gamma 90.00
loop_
_atom_site_label
_atom_site_type_symbol
_atom_site_fract_x
_atom_site_fract_y
_atom_site_fract_z
Np1 Np 0.0000 0.0000 0.0000
Fe1 Fe 0.0000 0.5000 0.2500
P1 P 0.0000 0.0000 0.3746
Ru1 Ru 0.0000 0.5000 0.7500
```

Top 10 peaks for 15° ≤ 2θ ≤ 90°, by intensity:
- 37.42°, d = 2.403 Å, I = 100, (1 1 2)
- 24.56°, d = 3.624 Å, I = 68, (1 0 1)
- 35.89°, d = 2.502 Å, I = 56, (1 0 3)
- 46.55°, d = 1.951 Å, I = 36, (2 0 0)
- 60.14°, d = 1.539 Å, I = 26, (2 1 3)
- 80.23°, d = 1.196 Å, I = 22, (3 1 2)
- 52.32°, d = 1.749 Å, I = 19, (1 0 5)
- 36.76°, d = 2.445 Å, I = 19, (0 0 4)
- 53.32°, d = 1.718 Å, I = 18, (2 1 1)
- 66.64°, d = 1.403 Å, I = 18, (1 1 6)